# V2P3O10
Simulated XRD peak list, Cu Kα. Input: the PBE+U geometry in Alexandria.
Intensities are scaled so that the largest is 100.

Structural model:
```
data_V2P3O10
_cell_length_a 4.802
_cell_length_b 8.470
_cell_length_c 9.044
_cell_angle_alpha 90.00
_cell_angle_beta 98.35
_cell_angle_gamma 90.00
_symmetry_space_group_name_H-M 'P 1 21/m 1'
_symmetry_Int_Tables_number 11
loop_
_symmetry_equiv_pos_as_xyz
'x,y,z'
'-x,-y,-z'
'-x,y+1/2,-z'
'x,-y+1/2,z'
loop_
_atom_site_label
_atom_site_fract_x
_atom_site_fract_y
_atom_site_fract_z
_atom_site_occupancy
V1 0.040 0.077 0.333 1
P1 0.330 0.250 0.813 1
P2 0.392 0.750 0.456 1
P3 0.462 0.250 0.146 1
O1 0.168 0.099 0.785 1
O2 0.225 0.750 0.774 1
O3 0.230 0.599 0.487 1
O4 0.305 0.250 0.458 1
O5 0.313 0.098 0.177 1
O6 0.410 0.750 0.283 1
O7 0.487 0.750 0.027 1
```

Largest 10 diffraction maxima, sorted by position, 15 to 90 degrees two-theta:
2θ/deg, d [Å], I (rel.)
19.85, 4.474, 42
20.98, 4.235, 24
24.80, 3.591, 35
25.28, 3.522, 37
28.23, 3.161, 100
31.22, 2.865, 48
33.06, 2.709, 52
33.28, 2.692, 21
43.73, 2.070, 28
67.27, 1.392, 23